[1]
Calculated powder X-ray diffraction pattern
Compound: Ba2PrMgRuO6
Radiation: CuKα
Structure: a cell relaxed with GGA-PBE
Kinematic intensities with the Lorentz-polarization factor, no thermal factor.

Main lines, sorted by position (5° ≤ 2θ ≤ 70°):
two_theta, I/Imax, h k l
26.49, 53, 1 0 4
29.99, 100, 1 1 0
30.56, 45, 0 1 5
40.43, 34, 0 2 4
43.35, 19, 2 0 5
53.24, 20, 3 0 0

```
data_Ba2PrMgRuO6
_symmetry_space_group_name_H-M 'R 3 m'
_symmetry_Int_Tables_number 160
_symmetry_space_group_name_Hall 'R 3 -2"'
_cell_length_a 5.9599
_cell_length_b 5.9599
_cell_length_c 17.7494
_cell_angle_alpha 90.00
_cell_angle_beta 90.00
_cell_angle_gamma 120.00
loop_
_atom_site_label
_atom_site_fract_x
_atom_site_fract_y
_atom_site_fract_z
Ba1 0.0000 0.0000 0.0000
Ba2 0.0000 0.0000 0.4186
Pr1 0.0000 0.0000 0.2071
Mg1 0.0000 0.0000 0.8269
Ru1 0.0000 0.0000 0.6861
O1 0.0103 0.5052 0.4390
O2 0.1744 0.3487 0.2897
```



[2]
Calculated powder X-ray diffraction pattern
Compound: Ba2PrMgRuO6
Radiation: CuKα
Structure: a cell relaxed with GGA-PBE
Kinematic intensities with the Lorentz-polarization factor, no thermal factor.

Main lines, sorted by position (5° ≤ 2θ ≤ 70°):
two_theta, I/Imax, h k l
19.82, 29, 0 1 2
26.77, 39, 1 0 4
29.51, 100, 1 1 0
31.05, 44, 0 0 6
40.26, 25, 0 2 4
43.40, 58, 1 1 6

```
data_Ba2PrMgRuO6
_symmetry_space_group_name_H-M 'R 3 m'
_symmetry_Int_Tables_number 160
_symmetry_space_group_name_Hall 'R 3 -2"'
_cell_length_a 6.0532
_cell_length_b 6.0532
_cell_length_c 17.2519
_cell_angle_alpha 90.00
_cell_angle_beta 90.00
_cell_angle_gamma 120.00
loop_
_atom_site_label
_atom_site_fract_x
_atom_site_fract_y
_atom_site_fract_z
Ba1 0.0000 0.0000 0.0000
Ba2 0.0000 0.0000 0.4552
Pr1 0.0000 0.0000 0.6555
Mg1 0.0000 0.0000 0.8224
Ru1 0.0000 0.0000 0.1813
O1 0.0036 0.5018 0.4387
O2 0.0191 0.5095 0.9156
```



[3]
Calculated powder X-ray diffraction pattern
Compound: Ba2PrMgRuO6
Radiation: CuKα
Structure: a cell relaxed with GGA-PBE
Kinematic intensities with the Lorentz-polarization factor, no thermal factor.

Main lines, sorted by position (5° ≤ 2θ ≤ 70°):
two_theta, I/Imax, h k l
28.03, 100, 1 1 2
28.73, 42, 0 2 0
29.54, 40, 2 0 0
32.04, 26, 0 1 3
41.68, 48, 2 2 0
44.14, 21, 2 1 3

```
data_Ba2PrMgRuO6
_symmetry_space_group_name_H-M 'I m m m'
_symmetry_Int_Tables_number 71
_symmetry_space_group_name_Hall '-I 2 2'
_cell_length_a 6.048
_cell_length_b 6.214
_cell_length_c 9.380
_cell_angle_alpha 90.00
_cell_angle_beta 90.00
_cell_angle_gamma 90.00
loop_
_atom_site_label
_atom_site_fract_x
_atom_site_fract_y
_atom_site_fract_z
Ba1 0.000 0.000 0.188
Pr1 0.000 0.500 0.000
Mg1 0.000 0.000 0.500
Ru1 0.000 0.500 0.500
O1 0.000 0.500 0.270
O2 0.221 0.248 0.500
```